This entry pairs a crystal structure of Cs2PrTmO4 with its simulated PXRD pattern. Radiation: CuKα. Structure: a structure optimized by DFT (PBE).
Neutral-atom scattering factors, no anomalous dispersion.

Crystal structure
Unit cell a=3.575 b=3.575 c=13.624 alpha=90.00 beta=90.00 gamma=120.00
Sites, in units of the cell vectors:
1 Cs 0.333 0.667 0.245
2 Cs 0.667 0.333 0.755
3 Pr 0.000 0.000 0.500
4 Tm 0.000 0.000 0.000
5 O 0.333 0.667 0.592
6 O 0.333 0.667 0.921
7 O 0.667 0.333 0.079
8 O 0.667 0.333 0.408

Peak list (8 most intense, 2θ from 10° to 80°, sorted by position)
2θ 26.16, I 43; 2θ 29.58, I 26; 2θ 31.74, I 100; 2θ 35.08, I 34; 2θ 49.80, I 34; 2θ 51.09, I 29; 2θ 58.29, I 28; 2θ 61.41, I 15

***

This entry pairs a crystal structure of InAg3Te4Pb with its simulated PXRD pattern. Radiation: CuKα. Structure: a structure optimized by DFT (PBE).
Neutral-atom scattering factors, no anomalous dispersion.

Crystal structure
Unit cell a=6.710 b=6.710 c=6.710 alpha=90.00 beta=90.00 gamma=90.00
Sites, in units of the cell vectors:
1 In 0.000 0.000 0.000
2 Ag 0.000 0.500 0.500
3 Ag 0.500 0.000 0.500
4 Ag 0.500 0.500 0.000
5 Te 0.241 0.241 0.241
6 Te 0.241 0.759 0.759
7 Te 0.759 0.241 0.759
8 Te 0.759 0.759 0.241
9 Pb 0.500 0.500 0.500

Peak list (8 most intense, 2θ from 10° to 80°, sorted by position)
2θ 13.19, I 14; 2θ 18.70, I 19; 2θ 22.96, I 58; 2θ 29.77, I 15; 2θ 37.92, I 100; 2θ 44.79, I 28; 2θ 54.71, I 17; 2θ 68.50, I 33

***

This entry pairs a crystal structure of Nd2In5Ga with its simulated PXRD pattern. Radiation: CuKα. Structure: a structure optimized by DFT (PBE).
Neutral-atom scattering factors, no anomalous dispersion.

Crystal structure
Unit cell a=5.071 b=6.846 c=6.846 alpha=59.34 beta=90.00 gamma=90.00
Sites, in units of the cell vectors:
1 Nd 0.000 0.000 0.000
2 Nd 0.500 0.341 0.341
3 In 0.000 0.508 0.978
4 In 0.000 0.978 0.508
5 In 0.500 0.358 0.821
6 In 0.500 0.821 0.358
7 In 0.500 0.826 0.826
8 Ga 0.000 0.516 0.516

Peak list (8 most intense, 2θ from 10° to 80°, sorted by position)
2θ 30.36, I 28; 2θ 34.97, I 56; 2θ 35.25, I 100; 2θ 35.40, I 35; 2θ 47.31, I 16; 2θ 53.55, I 19; 2θ 63.46, I 17; 2θ 65.84, I 20

***

This entry pairs a crystal structure of Sr2PdClO3 with its simulated PXRD pattern. Radiation: CuKα. Structure: a structure optimized by DFT (PBE).
Neutral-atom scattering factors, no anomalous dispersion.

Crystal structure
Unit cell a=4.053 b=4.053 c=13.943 alpha=90.00 beta=90.00 gamma=90.00
Sites, in units of the cell vectors:
1 Sr 0.250 0.250 0.098
2 Sr 0.250 0.250 0.347
3 Sr 0.750 0.750 0.653
4 Sr 0.750 0.750 0.902
5 Pd 0.250 0.250 0.780
6 Pd 0.750 0.750 0.220
7 Cl 0.250 0.250 0.576
8 Cl 0.750 0.750 0.424
9 O 0.250 0.250 0.928
10 O 0.250 0.750 0.235
11 O 0.250 0.750 0.765
12 O 0.750 0.250 0.235
13 O 0.750 0.250 0.765
14 O 0.750 0.750 0.072

Peak list (8 most intense, 2θ from 10° to 80°, sorted by position)
2θ 12.70, I 51; 2θ 29.23, I 54; 2θ 31.21, I 100; 2θ 33.92, I 72; 2θ 39.21, I 39; 2θ 44.71, I 53; 2θ 54.32, I 20; 2θ 57.29, I 31

***

This entry pairs a crystal structure of Er2Fe2B4Ir3 with its simulated PXRD pattern. Radiation: CuKα. Structure: a structure optimized by DFT (PBE).
Neutral-atom scattering factors, no anomalous dispersion.

Crystal structure
Unit cell a=7.305 b=6.138 c=5.467 alpha=77.78 beta=55.21 gamma=47.01
Sites, in units of the cell vectors:
1 Er 0.146 0.146 0.854
2 Er 0.854 0.854 0.146
3 Fe 0.250 0.250 0.250
4 Fe 0.750 0.750 0.750
5 B 0.198 0.518 0.482
6 B 0.482 0.802 0.198
7 B 0.518 0.198 0.802
8 B 0.802 0.482 0.518
9 Ir 0.000 0.000 0.500
10 Ir 0.500 0.500 0.000
11 Ir 0.500 0.500 0.500

Peak list (8 most intense, 2θ from 10° to 80°, sorted by position)
2θ 16.03, I 52; 2θ 30.95, I 83; 2θ 37.65, I 89; 2θ 38.70, I 100; 2θ 41.13, I 57; 2θ 42.13, I 21; 2θ 47.38, I 21; 2θ 64.49, I 21

***

This entry pairs a crystal structure of NdSiH2O4 with its simulated PXRD pattern. Radiation: CuKα. Structure: a structure optimized by DFT (PBE).
Neutral-atom scattering factors, no anomalous dispersion.

Crystal structure
Unit cell a=4.839 b=6.409 c=6.251 alpha=90.00 beta=105.72 gamma=90.00
Sites, in units of the cell vectors:
1 Nd 0.080 0.250 0.213
2 Nd 0.920 0.750 0.787
3 Si 0.228 0.250 0.740
4 Si 0.772 0.750 0.260
5 H 0.306 0.750 0.425
6 H 0.500 0.000 0.000
7 H 0.500 0.500 0.000
8 H 0.694 0.250 0.575
9 O 0.084 0.750 0.447
10 O 0.253 0.048 0.912
11 O 0.253 0.452 0.912
12 O 0.433 0.250 0.574
13 O 0.567 0.750 0.426
14 O 0.747 0.548 0.088
15 O 0.747 0.952 0.088
16 O 0.916 0.250 0.553

Peak list (8 most intense, 2θ from 10° to 80°, sorted by position)
2θ 19.05, I 91; 2θ 20.24, I 78; 2θ 23.61, I 78; 2θ 24.98, I 54; 2θ 27.84, I 73; 2θ 30.65, I 100; 2θ 33.81, I 56; 2θ 41.19, I 52

***

This entry pairs a crystal structure of Cu4Ag with its simulated PXRD pattern. Radiation: CuKα. Structure: a structure optimized by DFT (PBE).
Neutral-atom scattering factors, no anomalous dispersion.

Crystal structure
Unit cell a=4.578 b=4.578 c=4.578 alpha=99.48 beta=99.48 gamma=132.10
Sites, in units of the cell vectors:
1 Cu 0.095 0.693 0.788
2 Cu 0.307 0.095 0.402
3 Cu 0.693 0.905 0.598
4 Cu 0.905 0.307 0.212
5 Ag 0.500 0.500 0.000

Peak list (8 most intense, 2θ from 10° to 80°, sorted by position)
2θ 21.23, I 2; 2θ 28.36, I 4; 2θ 30.21, I 3; 2θ 41.91, I 100; 2θ 48.66, I 32; 2θ 49.01, I 15; 2θ 71.27, I 9; 2θ 71.55, I 18